Theoretical powder X-ray diffraction pattern of Ti17N6O24 for a wavelength of 1.5418 Å, from a PBE-relaxed structure.
Peak positions follow from Bragg's law for the DFT cell and can differ from measured ones.

Structural model:
Unit cell a=7.5017 b=7.5017 c=10.7366 alpha=105.79 beta=105.79 gamma=80.28
Atoms (fractional coordinates):
Ti (0.0000, 0.0000, 0.0000)
Ti (0.0517, 0.1590, 0.3269)
Ti (0.0621, 0.7329, 0.1929)
Ti (0.1661, 0.2746, 0.6726)
Ti (0.2671, 0.9379, 0.8071)
Ti (0.3333, 0.3303, 0.9990)
Ti (0.3777, 0.5004, 0.3176)
Ti (0.3906, 0.0604, 0.1754)
Ti (0.4429, 0.2284, 0.4997)
Ti (0.4996, 0.6223, 0.6824)
Ti (0.6056, 0.2759, 0.8223)
Ti (0.6697, 0.6667, 0.0010)
Ti (0.7241, 0.3944, 0.1777)
Ti (0.7254, 0.8339, 0.3274)
Ti (0.7716, 0.5571, 0.5003)
Ti (0.8410, 0.9483, 0.6731)
Ti (0.9396, 0.6094, 0.8246)
N (0.2040, 0.1553, 0.4998)
N (0.2386, 0.0909, 0.9991)
N (0.5338, 0.4662, 0.5000)
N (0.5731, 0.4269, 0.0000)
N (0.8447, 0.7960, 0.5002)
N (0.9091, 0.7614, 0.0009)
O (0.0477, 0.0858, 0.7004)
O (0.0526, 0.8224, 0.8128)
O (0.1451, 0.4410, 0.8696)
O (0.1776, 0.9474, 0.1872)
O (0.2139, 0.6930, 0.3593)
O (0.2293, 0.5216, 0.1279)
O (0.2678, 0.2766, 0.3123)
O (0.3070, 0.7861, 0.6407)
O (0.3864, 0.1540, 0.8122)
O (0.3928, 0.4016, 0.6876)
O (0.4784, 0.7707, 0.8721)
O (0.5138, 0.2728, 0.1812)
O (0.5465, 0.0336, 0.3688)
O (0.5590, 0.8549, 0.1304)
O (0.5984, 0.6072, 0.3124)
O (0.6347, 0.1220, 0.6320)
O (0.7234, 0.7322, 0.6877)
O (0.7272, 0.4862, 0.8188)
O (0.8042, 0.1014, 0.8704)
O (0.8460, 0.6136, 0.1878)
O (0.8780, 0.3653, 0.3680)
O (0.8986, 0.1958, 0.1296)
O (0.9142, 0.9523, 0.2996)
O (0.9664, 0.4535, 0.6312)

Peak list (10 most intense, 2θ = 5–70°, sorted by position)
| 2θ (°) | Rel. int. |
| --- | --- |
| 18.35 | 40.5 |
| 25.05 | 100.0 |
| 32.55 | 73.9 |
| 36.46 | 19.1 |
| 36.90 | 26.1 |
| 41.45 | 14.7 |
| 46.33 | 24.2 |
| 47.57 | 36.2 |
| 58.83 | 22.7 |
| 60.34 | 19.6 |